Structure and computed powder diffraction line list of Pr5Dy2Tl4 (DFT lattice parameters and positions (GGA-PBE); copper Kα).

Principal peaks in the range 15° ≤ 2θ ≤ 90°, by intensity:
2θ (°)  I (rel.)  (hkl)
29.74  100.0  3 1 1
31.55  92.4  6 0 2
30.27  89.6  8 0 -1
33.25  76.6  2 0 -3
33.79  44.9  1 1 2
37.14  41.9  7 1 -1
37.62  40.5  5 1 -2
25.41  36.9  1 1 0
29.32  32.9  3 1 -1
51.62  28.4  0 2 0

Atomic structure:
```
data_Pr5Dy2Tl4
_chemical_formula_sum 'Pr10 Dy4 Tl8'
_symmetry_space_group_name_H-M 'C 1 2/m 1'
_symmetry_Int_Tables_number 12
_cell_length_a 24.8503
_cell_length_b 3.5410
_cell_length_c 8.1971
_cell_angle_alpha 90.00
_cell_angle_beta 93.00
_cell_angle_gamma 90.00
loop_
_symmetry_equiv_pos_as_xyz
'x,y,z'
'-x,-y,-z'
'-x,y,-z'
'x,-y,z'
'x+1/2,y+1/2,z'
'-x+1/2,-y+1/2,-z'
'-x+1/2,y+1/2,-z'
'x+1/2,-y+1/2,z'
loop_
_atom_site_label
_atom_site_type_symbol
_atom_site_fract_x
_atom_site_fract_y
_atom_site_fract_z
Pr1 Pr 0.0000 0.0000 0.0000
Pr2 Pr 0.1408 0.5000 0.1237
Pr3 Pr 0.2335 0.5000 0.7831
Dy1 Dy 0.0897 0.5000 0.7169
Tl1 Tl 0.0380 0.5000 0.3527
Tl2 Tl 0.1639 0.0000 0.4722
```

***

Structure and computed powder diffraction line list of HoAgSe2 (DFT lattice parameters and positions (GGA-PBE); copper Kα).

Principal peaks in the range 15° ≤ 2θ ≤ 90°, by intensity:
2θ (°)  I (rel.)  (hkl)
27.89  100.0  1 1 2
37.12  95.0  0 2 4
36.20  61.1  1 2 2
31.51  50.3  1 1 3
44.84  45.0  1 0 6
24.57  36.9  1 0 2
45.08  35.9  2 1 1
32.73  34.3  0 2 3
49.00  33.2  2 1 3
34.33  28.8  1 2 1

Atomic structure:
```
data_HoAgSe2
_chemical_formula_sum 'Ho4 Ag4 Se8'
_symmetry_space_group_name_H-M 'P 21 21 21'
_symmetry_Int_Tables_number 19
_cell_length_a 4.2602
_cell_length_b 6.8123
_cell_length_c 13.7773
_cell_angle_alpha 90.00
_cell_angle_beta 90.00
_cell_angle_gamma 90.00
loop_
_symmetry_equiv_pos_as_xyz
'x,y,z'
'-x+1/2,-y,z+1/2'
'x+1/2,-y+1/2,-z'
'-x,y+1/2,-z+1/2'
loop_
_atom_site_label
_atom_site_type_symbol
_atom_site_fract_x
_atom_site_fract_y
_atom_site_fract_z
Ho1 Ho 0.2192 0.2067 0.1273
Ag1 Ag 0.0085 0.7069 0.1274
Se1 Se 0.2214 0.0882 0.7742
Se2 Se 0.2270 0.4900 0.9733
```

***

Structure and computed powder diffraction line list of Na10B11C9 (DFT lattice parameters and positions (GGA-PBE); copper Kα).

Principal peaks in the range 15° ≤ 2θ ≤ 90°, by intensity:
2θ (°)  I (rel.)  (hkl)
42.62  100.0  7 1 -1
42.41  50.3  10 0 0
42.87  38.7  8 0 -4
81.70  19.3  1 1 7
36.62  17.3  3 1 1
65.62  17.1  9 1 3
57.62  9.6  11 1 -3
36.38  9.0  6 0 2
66.09  8.5  0 2 0
82.05  8.5  8 2 -4

Atomic structure:
```
data_Na10B11C9
_chemical_formula_sum 'Na20 B22 C18'
_symmetry_space_group_name_H-M 'C 1 m 1'
_symmetry_Int_Tables_number 8
_cell_length_a 22.4691
_cell_length_b 2.8276
_cell_length_c 9.7735
_cell_angle_alpha 90.00
_cell_angle_beta 108.38
_cell_angle_gamma 90.00
loop_
_symmetry_equiv_pos_as_xyz
'x,y,z'
'x,-y,z'
'x+1/2,y+1/2,z'
'x+1/2,-y+1/2,z'
loop_
_atom_site_label
_atom_site_type_symbol
_atom_site_fract_x
_atom_site_fract_y
_atom_site_fract_z
Na1 Na 0.0000 0.0000 0.0000
Na2 Na 0.0004 0.5000 0.4986
Na3 Na 0.0996 0.5000 0.1987
Na4 Na 0.1006 0.0000 0.6980
Na5 Na 0.1995 0.0000 0.3987
Na6 Na 0.2002 0.5000 0.8977
Na7 Na 0.3000 0.0000 0.0975
Na8 Na 0.3002 0.5000 0.5973
Na9 Na 0.3995 0.5000 0.2991
Na10 Na 0.4001 0.0000 0.7997
B1 B 0.0193 0.5000 0.7871
B2 B 0.0837 0.0000 0.4152
B3 B 0.1165 0.0000 0.9812
B4 B 0.1837 0.5000 0.6159
B5 B 0.2136 0.5000 0.1758
B6 B 0.2836 0.0000 0.8166
B7 B 0.3110 0.0000 0.3707
B8 B 0.3823 0.0000 0.5133
B9 B 0.3836 0.5000 0.0163
B10 B 0.4224 0.5000 0.5935
B11 B 0.4839 0.0000 0.2155
C1 C 0.0174 0.0000 0.2816
C2 C 0.0847 0.5000 0.9174
C3 C 0.1171 0.5000 0.4824
C4 C 0.1819 0.0000 0.1125
C5 C 0.2170 0.0000 0.6829
C6 C 0.2794 0.5000 0.3073
C7 C 0.3167 0.5000 0.8838
C8 C 0.4171 0.0000 0.0826
C9 C 0.4871 0.5000 0.7227
```

***

Structure and computed powder diffraction line list of CsAl2I8 (DFT lattice parameters and positions (GGA-PBE); copper Kα).

Principal peaks in the range 15° ≤ 2θ ≤ 90°, by intensity:
2θ (°)  I (rel.)  (hkl)
21.43  100.0  2 2 -1
24.56  89.2  3 1 1
18.38  76.5  2 0 1
29.12  71.7  0 2 2
24.86  67.9  3 1 -2
30.65  63.7  3 3 -1
20.25  52.6  2 2 0
27.61  47.2  4 2 0
42.82  44.9  6 2 -3
25.67  39.6  4 0 -2

Atomic structure:
```
data_CsAl2I8
_chemical_formula_sum 'Cs2 Al4 I16'
_symmetry_space_group_name_H-M 'C 1 2/m 1'
_symmetry_Int_Tables_number 12
_cell_length_a 17.6653
_cell_length_b 10.3426
_cell_length_c 8.1245
_cell_angle_alpha 90.00
_cell_angle_beta 110.48
_cell_angle_gamma 90.00
loop_
_symmetry_equiv_pos_as_xyz
'x,y,z'
'-x,-y,-z'
'-x,y,-z'
'x,-y,z'
'x+1/2,y+1/2,z'
'-x+1/2,-y+1/2,-z'
'-x+1/2,y+1/2,-z'
'x+1/2,-y+1/2,z'
loop_
_atom_site_label
_atom_site_type_symbol
_atom_site_fract_x
_atom_site_fract_y
_atom_site_fract_z
Cs1 Cs 0.0000 0.0000 0.0000
Al1 Al 0.1816 0.0000 0.6845
I1 I 0.1002 0.2023 0.7078
I2 I 0.1899 0.5000 0.0437
I3 I 0.2102 0.0000 0.3993
```

***

Structure and computed powder diffraction line list of Ca2CdGa2 (DFT lattice parameters and positions (GGA-PBE); copper Kα).

Principal peaks in the range 15° ≤ 2θ ≤ 90°, by intensity:
2θ (°)  I (rel.)  (hkl)
37.75  100.0  3 1 1
34.37  54.1  3 1 -3
30.91  51.5  1 1 2
39.25  47.2  0 2 0
15.64  31.0  2 0 -1
31.23  30.9  3 1 -2
31.64  28.4  1 1 -3
21.27  26.3  1 1 0
37.28  22.1  0 0 4
24.99  19.1  2 0 -3

Atomic structure:
```
data_Ca2CdGa2
_chemical_formula_sum 'Ca8 Cd4 Ga8'
_symmetry_space_group_name_H-M 'C 1 2/m 1'
_symmetry_Int_Tables_number 12
_cell_length_a 11.3583
_cell_length_b 4.5910
_cell_length_c 10.8972
_cell_angle_alpha 90.00
_cell_angle_beta 117.71
_cell_angle_gamma 90.00
loop_
_symmetry_equiv_pos_as_xyz
'x,y,z'
'-x,-y,-z'
'-x,y,-z'
'x,-y,z'
'x+1/2,y+1/2,z'
'-x+1/2,-y+1/2,-z'
'-x+1/2,y+1/2,-z'
'x+1/2,-y+1/2,z'
loop_
_atom_site_label
_atom_site_type_symbol
_atom_site_fract_x
_atom_site_fract_y
_atom_site_fract_z
Ca1 Ca 0.0044 0.0000 0.3253
Ca2 Ca 0.1860 0.0000 0.1033
Cd1 Cd 0.2224 0.5000 0.3543
Ga1 Ga 0.0235 0.5000 0.8918
Ga2 Ga 0.1285 0.5000 0.5646
```

***

Structure and computed powder diffraction line list of NdSc5Tl3 (DFT lattice parameters and positions (GGA-PBE); copper Kα).

Principal peaks in the range 15° ≤ 2θ ≤ 90°, by intensity:
2θ (°)  I (rel.)  (hkl)
34.85  100.0  3 0 0
24.32  84.3  1 1 1
34.48  80.4  1 1 2
62.25  27.6  4 1 2
49.84  27.5  2 2 2
69.08  26.7  3 0 4
45.19  25.6  3 0 2
42.96  19.4  2 2 1
62.49  17.5  3 3 0
56.46  17.4  4 1 1

Atomic structure:
```
data_NdSc5Tl3
_chemical_formula_sum 'Nd2 Sc10 Tl6'
_symmetry_space_group_name_H-M 'P 63/m c m'
_symmetry_Int_Tables_number 193
_symmetry_space_group_name_Hall '-P 6c 2'
_cell_length_a 8.9173
_cell_length_b 8.9173
_cell_length_c 6.4052
_cell_angle_alpha 90.00
_cell_angle_beta 90.00
_cell_angle_gamma 120.00
loop_
_atom_site_label
_atom_site_type_symbol
_atom_site_fract_x
_atom_site_fract_y
_atom_site_fract_z
Nd1 Nd 0.0000 0.0000 0.0000
Sc1 Sc 0.0000 0.3314 0.2500
Sc2 Sc 0.3333 0.6667 0.0000
Tl1 Tl 0.0000 0.3437 0.7500
```

***

Structure and computed powder diffraction line list of DyHoB (DFT lattice parameters and positions (GGA-PBE); copper Kα).

Principal peaks in the range 15° ≤ 2θ ≤ 90°, by intensity:
2θ (°)  I (rel.)  (hkl)
28.70  100.0  1 2 2
31.18  29.4  1 0 4
36.87  28.1  4 -1 2
38.89  24.2  3 -1 4
43.11  21.1  4 1 0
56.66  18.1  2 2 6
32.25  15.6  2 2 0
60.57  11.2  3 4 2
61.98  11.2  5 1 4
56.84  11.0  0 5 4

Atomic structure:
```
data_DyHoB
_chemical_formula_sum 'Dy18 Ho18 B18'
_symmetry_space_group_name_H-M 'R -3'
_symmetry_Int_Tables_number 148
_symmetry_space_group_name_Hall '-R 3'
_cell_length_a 11.1028
_cell_length_b 11.1028
_cell_length_c 12.0215
_cell_angle_alpha 90.00
_cell_angle_beta 90.00
_cell_angle_gamma 120.00
loop_
_atom_site_label
_atom_site_type_symbol
_atom_site_fract_x
_atom_site_fract_y
_atom_site_fract_z
Dy1 Dy 0.0176 0.8124 0.3872
Ho1 Ho 0.0293 0.8332 0.8814
B1 B 0.0469 0.7791 0.1872
```

***

Structure and computed powder diffraction line list of BaCu4P2Pb (DFT lattice parameters and positions (GGA-PBE); copper Kα).

Principal peaks in the range 15° ≤ 2θ ≤ 90°, by intensity:
2θ (°)  I (rel.)  (hkl)
28.66  100.0  1 0 2
36.27  98.6  1 1 2
21.77  48.0  1 0 0
44.38  46.6  2 0 0
53.68  34.6  2 1 2
42.08  28.6  1 1 3
43.61  23.6  1 0 4
76.37  21.8  3 1 2
59.33  17.2  2 0 4
37.31  16.8  0 0 4

Atomic structure:
```
data_BaCu4P2Pb
_chemical_formula_sum 'Ba1 Cu4 P2 Pb1'
_symmetry_space_group_name_H-M 'P 4/m m m'
_symmetry_Int_Tables_number 123
_symmetry_space_group_name_Hall '-P 4 2'
_cell_length_a 4.0823
_cell_length_b 4.0823
_cell_length_c 9.6408
_cell_angle_alpha 90.00
_cell_angle_beta 90.00
_cell_angle_gamma 90.00
loop_
_atom_site_label
_atom_site_type_symbol
_atom_site_fract_x
_atom_site_fract_y
_atom_site_fract_z
Ba1 Ba 0.0000 0.0000 0.0000
Cu1 Cu 0.0000 0.5000 0.2978
P1 P 0.5000 0.5000 0.1933
Pb1 Pb 0.0000 0.0000 0.5000
```

***

Structure and computed powder diffraction line list of Sm4PaRh5 (DFT lattice parameters and positions (GGA-PBE); copper Kα).

Principal peaks in the range 15° ≤ 2θ ≤ 90°, by intensity:
2θ (°)  I (rel.)  (hkl)
33.12  100.0  3 0 1
27.16  60.3  2 1 1
40.06  56.8  3 3 0
34.96  49.2  0 0 2
38.24  44.1  3 2 1
37.68  36.9  4 0 0
54.20  34.3  3 3 2
52.34  21.9  4 0 2
61.53  21.1  3 0 3
29.59  20.6  3 1 0

Atomic structure:
```
data_Sm4PaRh5
_chemical_formula_sum 'Sm8 Pa2 Rh10'
_symmetry_space_group_name_H-M 'I 4 m m'
_symmetry_Int_Tables_number 107
_symmetry_space_group_name_Hall 'I 4 -2'
_cell_length_a 9.5482
_cell_length_b 9.5482
_cell_length_c 5.1334
_cell_angle_alpha 90.00
_cell_angle_beta 90.00
_cell_angle_gamma 90.00
loop_
_atom_site_label
_atom_site_type_symbol
_atom_site_fract_x
_atom_site_fract_y
_atom_site_fract_z
Sm1 Sm 0.0000 0.2883 0.0000
Pa1 Pa 0.0000 0.0000 0.4186
Rh1 Rh 0.0000 0.0000 0.9130
Rh2 Rh 0.1878 0.1878 0.5216
```

***

Structure and computed powder diffraction line list of Th4Sb8Au3 (DFT lattice parameters and positions (GGA-PBE); copper Kα).

Principal peaks in the range 15° ≤ 2θ ≤ 90°, by intensity:
2θ (°)  I (rel.)  (hkl)
33.47  100.0  1 1 4
40.10  36.2  2 0 0
68.65  25.4  3 1 4
55.14  16.1  2 0 8
21.70  13.7  1 0 2
36.23  13.4  0 0 8
33.64  12.5  1 0 6
58.00  12.3  2 2 0
50.27  8.5  1 0 10
70.33  7.9  2 2 8

Atomic structure:
```
data_Th4Sb8Au3
_chemical_formula_sum 'Th4 Sb8 Au3'
_symmetry_space_group_name_H-M 'P -4 m 2'
_symmetry_Int_Tables_number 115
_cell_length_a 4.4974
_cell_length_b 4.4974
_cell_length_c 19.8368
_cell_angle_alpha 90.00
_cell_angle_beta 90.00
_cell_angle_gamma 90.00
loop_
_symmetry_equiv_pos_as_xyz
'x,y,z'
'y,-x,-z'
'-x,-y,z'
'-y,x,-z'
'-x,y,z'
'-y,-x,-z'
'x,-y,z'
'y,x,-z'
loop_
_atom_site_label
_atom_site_type_symbol
_atom_site_fract_x
_atom_site_fract_y
_atom_site_fract_z
Th1 Th 0.0000 0.5000 0.1215
Th2 Th 0.0000 0.5000 0.6303
Sb1 Sb 0.0000 0.0000 0.2461
Sb2 Sb 0.0000 0.5000 0.4051
Sb3 Sb 0.0000 0.5000 0.9169
Sb4 Sb 0.5000 0.5000 0.2459
Au1 Au 0.0000 0.0000 0.0000
Au2 Au 0.0000 0.0000 0.5000
Au3 Au 0.5000 0.5000 0.5000
```